Calculated powder diffractogram
Compound: CaPr5Sn5
Radiation: Cu Ka
Structure: the GGA-PBE geometry in Alexandria

Peak list (10 most intense, 10° ≤ 2θ ≤ 90°, sorted by position)
2θ (°), Rel. int.
27.80, 100.0
28.93, 90.0
29.05, 88.4
34.48, 56.7
40.56, 75.3
40.64, 71.9
44.86, 56.2
47.59, 24.1
56.01, 28.0
65.61, 36.1

Structural model:
Unit cell a=7.058 b=7.058 c=10.405 alpha=111.42 beta=111.42 gamma=54.08
Sites, in units of the cell vectors:
Ca 0.000 0.000 0.000
Pr 0.000 0.000 0.500
Pr 0.328 0.328 0.162
Pr 0.337 0.337 0.665
Pr 0.663 0.663 0.335
Pr 0.672 0.672 0.838
Sn 0.161 0.161 0.334
Sn 0.170 0.170 0.830
Sn 0.500 0.500 0.000
Sn 0.830 0.830 0.170
Sn 0.839 0.839 0.666

Calculated powder diffractogram
Compound: SrCa4Pr2
Radiation: Cu Ka
Structure: the GGA-PBE geometry in Alexandria

Peak list (10 most intense, 10° ≤ 2θ ≤ 90°, sorted by position)
2θ (°), Rel. int.
26.59, 30.4
27.38, 79.9
27.76, 57.1
29.73, 99.9
30.35, 100.0
32.50, 24.3
34.14, 47.2
46.88, 45.2
51.16, 18.6
55.36, 47.1

Structural model:
Unit cell a=22.604 b=22.604 c=22.604 alpha=9.84 beta=9.84 gamma=9.84
Sites, in units of the cell vectors:
Sr 0.000 0.000 0.000
Ca 0.099 0.099 0.099
Ca 0.384 0.384 0.384
Ca 0.616 0.616 0.616
Ca 0.901 0.901 0.901
Pr 0.188 0.188 0.188
Pr 0.812 0.812 0.812

Repeat the first record exactly.
Calculated powder diffractogram
Compound: CaPr5Sn5
Radiation: Cu Ka
Structure: the GGA-PBE geometry in Alexandria

Peak list (10 most intense, 10° ≤ 2θ ≤ 90°, sorted by position)
2θ (°), Rel. int.
27.80, 100.0
28.93, 90.0
29.05, 88.4
34.48, 56.7
40.56, 75.3
40.64, 71.9
44.86, 56.2
47.59, 24.1
56.01, 28.0
65.61, 36.1

Structural model:
Unit cell a=7.058 b=7.058 c=10.405 alpha=111.42 beta=111.42 gamma=54.08
Sites, in units of the cell vectors:
Ca 0.000 0.000 0.000
Pr 0.000 0.000 0.500
Pr 0.328 0.328 0.162
Pr 0.337 0.337 0.665
Pr 0.663 0.663 0.335
Pr 0.672 0.672 0.838
Sn 0.161 0.161 0.334
Sn 0.170 0.170 0.830
Sn 0.500 0.500 0.000
Sn 0.830 0.830 0.170
Sn 0.839 0.839 0.666